# 1
Calculated X-ray diffraction stick pattern of UCu5 for λ = 1.5418 Å (Cu Kα), from a structure optimized by DFT (PBE).
Kinematic intensities with the Lorentz-polarization factor, no thermal factor.

Structure:
Lattice parameters (Å, degrees): 7.0401 7.0401 7.0401 90.00 90.00 90.00
Space group F-43m (No. 216)
Inequivalent atoms, fractional coordinates:
U  0.0000  0.0000  0.0000 x4
Cu  0.1236  0.1236  0.3764 x16
Cu  0.2500  0.2500  0.7500 x4

Principal peaks in the range 2θ = 15–90°, most intense first:
2θ (°)	d/Å	I (rel.)	index
42.59	2.123	100	3 1 1
36.09	2.489	52	2 2 0
69.36	1.355	31	5 1 1
21.87	4.065	22	1 1 1
44.58	2.032	22	2 2 2
76.55	1.245	21	4 4 0
64.89	1.437	19	4 2 2
25.30	3.520	19	2 0 0
87.67	1.113	9	6 2 0
58.64	1.574	8	4 2 0

# 2
Calculated X-ray diffraction stick pattern of ZrVCu for λ = 1.5418 Å (Cu Kα), from a structure optimized by DFT (PBE).
Kinematic intensities with the Lorentz-polarization factor, no thermal factor.

Structure:
Lattice parameters (Å, degrees): 8.4619 5.1057 9.0462 90.00 90.00 90.00
Space group Amm2 (No. 38)
Inequivalent atoms, fractional coordinates:
Zr  0.1848  0.0000  0.0000 x4
Zr  0.3112  0.0000  0.6639 x4
V  0.0000  0.0000  0.4930 x2
V  0.5000  0.0000  0.1510 x2
V  0.5000  0.2386  0.9134 x4
Cu  0.0000  0.2465  0.7427 x4
Cu  0.2471  0.0000  0.3281 x4

Principal peaks in the range 2θ = 15–90°, most intense first:
2θ (°)	d/Å	I (rel.)	index
40.78	2.213	100	2 1 3
41.31	2.185	90	2 2 0
37.77	2.382	78	3 1 1
42.02	2.150	64	1 2 2
34.55	2.596	55	0 1 3
37.58	2.393	46	3 0 2
69.85	1.347	27	5 2 2
72.86	1.298	23	0 2 6
35.15	2.553	22	0 2 0
66.89	1.399	21	2 3 3

# 3
Calculated X-ray diffraction stick pattern of YCu5 for λ = 1.5418 Å (Cu Kα), from a structure optimized by DFT (PBE).
Kinematic intensities with the Lorentz-polarization factor, no thermal factor.

Structure:
Lattice parameters (Å, degrees): 5.0414 5.0414 4.0712 90.00 90.00 120.00
Space group P6/mmm (No. 191)
Inequivalent atoms, fractional coordinates:
Y  0.0000  0.0000  0.0000 x1
Cu  0.0000  0.5000  0.5000 x3
Cu  0.3333  0.6667  0.0000 x2

Principal peaks in the range 2θ = 15–90°, most intense first:
2θ (°)	d/Å	I (rel.)	index
42.16	2.143	100	1 1 1
41.36	2.183	31	2 0 0
44.51	2.036	30	0 0 2
47.25	1.924	28	2 0 1
30.01	2.978	24	1 0 1
35.62	2.521	23	1 1 0
68.46	1.370	22	3 0 1
62.37	1.489	17	2 0 2
75.42	1.260	17	2 2 0
80.36	1.195	13	1 1 3